Record 1
Theoretical PXRD pattern of AcCePS for λ = 1.5418 Å (Cu Kα), from a PBE-relaxed structure.
Neutral-atom scattering factors, no anomalous dispersion.

Principal peaks in the range 2θ = 15–90°, low angle first:
(hkl)  Position (°2θ)  Rel. int.
0 0 6  24.01  38
1 0 1  25.23  81
0 1 2  26.18  47
0 1 5  32.12  100
1 0 7  37.88  46
1 1 0  43.85  51

Structural model:
Cell lengths 4.1291, 4.1291, 22.2358 Å; angles 90.00, 90.00, 120.00 degrees
Space group R3m (No. 160, hexagonal axes)
Symmetry-distinct sites (fractional):
Ac (0.0000, 0.0000, 0.0000) x3
Ce (0.0000, 0.0000, 0.1771) x3
P (0.0000, 0.0000, 0.5841) x3
S (0.0000, 0.0000, 0.4251) x3

Record 2
Theoretical PXRD pattern of AcCe2PaS8 for λ = 1.5418 Å (Cu Kα), from a PBE-relaxed structure.
Neutral-atom scattering factors, no anomalous dispersion.

Principal peaks in the range 2θ = 15–90°, low angle first:
(hkl)  Position (°2θ)  Rel. int.
1 1 0  22.94  100
0 1 2  23.44  98
1 0 2  26.84  40
1 2 2  38.30  99
2 1 2  44.88  36
1 1 4  45.71  33

Structural model:
Cell lengths 4.770, 6.657, 9.241 Å; angles 90.00, 90.00, 90.00 degrees
Space group Pmmm (No. 47)
Symmetry-distinct sites (fractional):
Ac (0.000, 0.000, 0.000) x1
Ce (0.500, 0.500, 0.253) x2
Pa (0.000, 0.000, 0.500) x1
S (0.000, 0.258, 0.271) x4
S (0.500, 0.233, 0.500) x2
S (0.500, 0.268, 0.000) x2

Record 3
Theoretical PXRD pattern of Ac2CePaS8 for λ = 1.5418 Å (Cu Kα), from a PBE-relaxed structure.
Neutral-atom scattering factors, no anomalous dispersion.

Principal peaks in the range 2θ = 15–90°, low angle first:
(hkl)  Position (°2θ)  Rel. int.
0 1 2  22.81  100
1 2 2  37.37  49
2 0 0  38.29  23
1 3 0  43.41  19
2 1 2  45.04  34
3 2 2  68.63  16

Structural model:
Cell lengths 4.704, 6.976, 9.395 Å; angles 90.00, 90.00, 90.00 degrees
Space group Pmmm (No. 47)
Symmetry-distinct sites (fractional):
Ac (0.000, 0.000, 0.249) x2
Ce (0.500, 0.500, 0.000) x1
Pa (0.500, 0.500, 0.500) x1
S (0.000, 0.269, 0.000) x2
S (0.000, 0.279, 0.500) x2
S (0.500, 0.273, 0.259) x4

Record 4
Theoretical PXRD pattern of Ac12CePb7 for λ = 1.5418 Å (Cu Kα), from a PBE-relaxed structure.
Neutral-atom scattering factors, no anomalous dispersion.

Principal peaks in the range 2θ = 15–90°, low angle first:
(hkl)  Position (°2θ)  Rel. int.
4 0 1  25.89  49
3 1 2  28.60  100
3 3 0  31.56  74
0 3 3  33.24  63
0 7 2  47.09  33
6 3 3  57.27  28

Structural model:
Cell lengths 17.0108, 17.0108, 9.6738 Å; angles 90.00, 90.00, 120.00 degrees
Space group R-3m (No. 166, hexagonal axes)
Symmetry-distinct sites (fractional):
Ac (0.0000, 0.2707, 0.0000) x18
Ac (0.1076, 0.2153, 0.3813) x18
Ce (0.0000, 0.0000, 0.0000) x3
Pb (0.0000, 0.0000, 0.5000) x3
Pb (0.1035, 0.2070, 0.7615) x18

Record 5
Theoretical PXRD pattern of AcCePb6 for λ = 1.5418 Å (Cu Kα), from a PBE-relaxed structure.
Neutral-atom scattering factors, no anomalous dispersion.

Principal peaks in the range 2θ = 15–90°, low angle first:
(hkl)  Position (°2θ)  Rel. int.
1 1 2  31.03  100
2 0 0  35.98  51
2 2 0  51.81  36
3 1 2  61.63  43
2 2 4  64.69  13
3 3 2  84.63  19

Structural model:
Cell lengths 4.994, 4.994, 9.972 Å; angles 90.00, 90.00, 90.00 degrees
Space group P4/mmm (No. 123)
Symmetry-distinct sites (fractional):
Ac (0.000, 0.000, 0.000) x1
Ce (0.000, 0.000, 0.500) x1
Pb (0.000, 0.500, 0.259) x4
Pb (0.500, 0.500, 0.000) x1
Pb (0.500, 0.500, 0.500) x1

Record 6
Theoretical PXRD pattern of Ac7CePb4 for λ = 1.5418 Å (Cu Kα), from a PBE-relaxed structure.
Neutral-atom scattering factors, no anomalous dispersion.

Principal peaks in the range 2θ = 15–90°, low angle first:
(hkl)  Position (°2θ)  Rel. int.
0 2 0  29.51  71
3 1 1  30.53  100
2 0 -4  30.75  53
5 1 -3  31.59  82
2 2 -4  43.14  42
8 2 -2  55.48  33

Structural model:
Cell lengths 16.634, 6.054, 12.123 Å; angles 90.00, 126.87, 90.00 degrees
Space group C2/m (No. 12)
Symmetry-distinct sites (fractional):
Ac (0.000, 0.000, 0.000) x2
Ac (0.075, 0.500, 0.322) x4
Ac (0.150, 0.000, 0.572) x4
Ac (0.210, 0.500, 0.871) x4
Ce (0.000, 0.500, 0.000) x2
Pb (0.075, 0.000, 0.778) x4
Pb (0.214, 0.000, 0.338) x4

Record 7
Theoretical PXRD pattern of AcCe3Pb4 for λ = 1.5418 Å (Cu Kα), from a PBE-relaxed structure.
Neutral-atom scattering factors, no anomalous dispersion.

Principal peaks in the range 2θ = 15–90°, low angle first:
(hkl)  Position (°2θ)  Rel. int.
2 0 0  27.17  100
2 0 2  38.80  79
2 4 2  48.01  29
4 0 2  63.36  37
4 4 2  70.24  28
6 0 0  89.59  19

Structural model:
Cell lengths 6.567, 13.122, 6.567 Å; angles 90.00, 90.00, 90.00 degrees
Space group Pmmn (No. 59, origin choice 2)
Symmetry-distinct sites (fractional):
Ac (0.250, 0.250, 0.248) x2
Ce (0.250, 0.000, 0.750) x4
Ce (0.250, 0.750, 0.250) x2
Pb (0.250, 0.250, 0.748) x2
Pb (0.250, 0.510, 0.250) x4
Pb (0.250, 0.750, 0.750) x2

Record 8
Theoretical PXRD pattern of AcCe2Pb3 for λ = 1.5418 Å (Cu Kα), from a PBE-relaxed structure.
Neutral-atom scattering factors, no anomalous dispersion.

Principal peaks in the range 2θ = 15–90°, low angle first:
(hkl)  Position (°2θ)  Rel. int.
1 3 1  30.92  100
2 0 0  34.16  19
0 6 0  34.37  19
2 6 0  49.24  14
3 3 1  59.14  16
1 9 1  59.42  15

Structural model:
Cell lengths 5.250, 15.656, 4.634 Å; angles 90.00, 90.00, 90.00 degrees
Space group Cmmm (No. 65)
Symmetry-distinct sites (fractional):
Ac (0.000, 0.000, 0.000) x2
Ce (0.000, 0.331, 0.000) x4
Pb (0.000, 0.173, 0.500) x4
Pb (0.000, 0.500, 0.500) x2